Calculated powder XRD pattern
Compound: CaMn2O4
Radiation: Cu Kα X-rays
Structure: a PBE+U-relaxed structure
Lines closer than 0.1° are merged.

Structural model:
```
data_CaMn2O4
_cell_length_a 3.147
_cell_length_b 10.142
_cell_length_c 9.794
_cell_angle_alpha 90.00
_cell_angle_beta 90.00
_cell_angle_gamma 90.00
_symmetry_space_group_name_H-M 'C m c m'
_symmetry_Int_Tables_number 63
_symmetry_space_group_name_Hall '-C 2c 2'
loop_
_atom_site_label
_atom_site_fract_x
_atom_site_fract_y
_atom_site_fract_z
Ca1 0.000 0.103 0.250
Mn1 0.000 0.363 0.069
O1 0.000 0.000 0.000
O2 0.000 0.275 0.607
O3 0.000 0.438 0.250
```

Main lines, by angle (2θ from 10° to 80°):
hkl, d [Å], I/Imax
1 1 1, 2.873, 31
0 2 3, 2.745, 100
1 1 2, 2.561, 26
1 3 0, 2.303, 40
1 3 1, 2.242, 64
1 3 2, 2.084, 57
1 1 5, 1.641, 27
1 5 3, 1.511, 27

=====

Calculated powder XRD pattern
Compound: CaMn2O4
Radiation: Cu Kα X-rays
Structure: a PBE+U-relaxed structure
Lines closer than 0.1° are merged.

Structural model:
```
data_CaMn2O4
_cell_length_a 11.679
_cell_length_b 5.999
_cell_length_c 15.549
_cell_angle_alpha 90.00
_cell_angle_beta 97.29
_cell_angle_gamma 90.00
_symmetry_space_group_name_H-M 'C 1 m 1'
_symmetry_Int_Tables_number 8
loop_
_symmetry_equiv_pos_as_xyz
'x,y,z'
'x,-y,z'
'x+1/2,y+1/2,z'
'x+1/2,-y+1/2,z'
loop_
_atom_site_label
_atom_site_fract_x
_atom_site_fract_y
_atom_site_fract_z
Ca1 0.000 0.000 0.000
Ca2 0.001 0.000 0.375
Ca3 0.162 0.500 0.283
Ca4 0.326 0.000 0.953
Ca5 0.331 0.000 0.715
Ca6 0.495 0.500 0.620
Mn1 0.000 0.500 0.499
Mn2 0.075 0.252 0.833
Mn3 0.160 0.500 0.664
Mn4 0.168 0.500 0.048
Mn5 0.172 0.000 0.172
Mn6 0.249 0.250 0.499
Mn7 0.329 0.500 0.824
Mn8 0.336 0.000 0.337
Mn9 0.414 0.248 0.168
O1 0.002 0.000 0.761
O2 0.021 0.500 0.756
O3 0.090 0.287 0.576
O4 0.091 0.239 0.103
O5 0.140 0.000 0.904
O6 0.149 0.500 0.910
O7 0.173 0.500 0.430
O8 0.189 0.000 0.424
O9 0.228 0.287 0.753
O10 0.264 0.212 0.251
O11 0.307 0.500 0.576
O12 0.323 0.000 0.569
O13 0.341 0.000 0.099
O14 0.346 0.500 0.091
O15 0.409 0.214 0.424
O16 0.414 0.269 0.890
O17 0.472 0.000 0.246
O18 0.492 0.500 0.233
```

Main lines, by angle (2θ from 10° to 80°):
hkl, d [Å], I/Imax
0 0 3, 5.135, 70
3 1 -3, 2.888, 60
1 1 5, 2.602, 100
0 2 3, 2.591, 42
4 0 -4, 2.471, 44
2 2 4, 2.134, 50
6 2 0, 1.623, 54
2 2 -8, 1.607, 52

=====

Calculated powder XRD pattern
Compound: CaMn7O12
Radiation: Cu Kα X-rays
Structure: a PBE+U-relaxed structure
Lines closer than 0.1° are merged.

Structural model:
```
data_CaMn7O12
_cell_length_a 7.432
_cell_length_b 7.436
_cell_length_c 7.636
_cell_angle_alpha 89.91
_cell_angle_beta 89.88
_cell_angle_gamma 89.83
_symmetry_space_group_name_H-M 'P 1'
_symmetry_Int_Tables_number 1
loop_
_symmetry_equiv_pos_as_xyz
'x,y,z'
loop_
_atom_site_label
_atom_site_fract_x
_atom_site_fract_y
_atom_site_fract_z
Ca1 0.000 0.000 0.000
Ca2 0.497 0.493 0.499
Mn1 0.000 0.493 0.502
Mn2 0.248 0.247 0.250
Mn3 0.248 0.247 0.749
Mn4 0.249 0.747 0.249
Mn5 0.249 0.747 0.750
Mn6 0.498 0.001 0.998
Mn7 0.499 0.503 0.001
Mn8 0.500 0.999 0.501
Mn9 0.749 0.247 0.250
Mn10 0.749 0.247 0.749
Mn11 0.749 0.747 0.250
Mn12 0.749 0.747 0.750
Mn13 0.997 0.496 0.999
Mn14 0.998 0.988 0.499
O1 0.000 0.689 0.177
O2 0.013 0.309 0.824
O3 0.174 0.999 0.692
O4 0.177 0.983 0.315
O5 0.188 0.673 0.485
O6 0.192 0.320 0.516
O7 0.306 0.175 0.983
O8 0.308 0.822 0.016
O9 0.320 0.511 0.184
O10 0.323 0.495 0.808
O11 0.485 0.185 0.675
O12 0.497 0.805 0.323
O13 0.500 0.803 0.677
O14 0.514 0.190 0.331
O15 0.676 0.497 0.194
O16 0.681 0.512 0.820
O17 0.682 0.182 0.017
O18 0.692 0.827 0.983
O19 0.805 0.667 0.516
O20 0.816 0.312 0.483
O21 0.818 0.981 0.681
O22 0.822 0.997 0.305
O23 0.984 0.304 0.169
O24 0.998 0.692 0.823
```

Main lines, by angle (2θ from 10° to 80°):
hkl, d [Å], I/Imax
2 0 2, 2.663, 100
2 2 0, 2.632, 24
2 -2 0, 2.624, 24
0 0 4, 1.909, 14
4 0 0, 1.859, 26
2 -2 4, 1.544, 19
2 4 2, 1.527, 12
4 2 -2, 1.523, 30